For Mn2Cr2S5, DFT lattice parameters and positions (PBE) gives the theoretical powder XRD pattern in this record (Cu Kα (λ = 1.5418 Å)).
Peak positions follow from Bragg's law for the DFT cell and can differ from measured ones.

Top 6 peaks for 15° ≤ 2θ ≤ 90°, sorted by position:
d/Å, two_theta, I_rel, hkl
3.919, 22.69, 59, 0 0 4
3.140, 28.42, 67, 1 0 0
2.692, 33.29, 100, 0 1 3
2.451, 36.67, 57, 0 1 4
1.823, 50.02, 99, 1 0 7
1.813, 50.32, 82, 1 1 0

```
Mn2Cr2S5
1.0
3.626 0.000 0.000
-1.813 3.140 0.000
0.000 0.000 15.676
Mn Cr S
2 2 5
direct
0.333 0.667 0.175
0.667 0.333 0.825
0.333 0.667 0.598
0.667 0.333 0.402
0.000 0.000 0.500
0.333 0.667 0.329
0.333 0.667 0.886
0.667 0.333 0.114
0.667 0.333 0.671
```